[1]
The following is a calculated powder diffraction line list of Hf2ZnGe4. It was derived from the GGA-PBE geometry in Alexandria, using Cu Kα X-rays.
Intensities are scaled so that the largest is 100.

Atomic structure:
Cell: 3.787 3.787 9.110 Å, 90.00 90.00 90.00°
Fractional coordinates of all 7 atoms:
Hf (0.000, 0.500, 0.239)
Hf (0.500, 0.000, 0.761)
Zn (0.000, 0.000, 0.500)
Ge (0.000, 0.000, 0.000)
Ge (0.000, 0.500, 0.677)
Ge (0.500, 0.000, 0.323)
Ge (0.500, 0.500, 0.000)

Most intense lines, 5 to 70 degrees two-theta, low angle first:
- 19.49°, I = 15
- 25.47°, I = 36
- 37.98°, I = 26
- 39.02°, I = 100
- 48.05°, I = 33
- 56.01°, I = 15

[2]
The following is a calculated powder diffraction line list of Hf3Zr2Ge2. It was derived from the GGA-PBE geometry in Alexandria, using Cu Kα X-rays.
Intensities are scaled so that the largest is 100.

Atomic structure:
Cell: 10.712 3.808 7.516 Å, 90.00 109.07 90.00°
Fractional coordinates of all 14 atoms:
Hf (0.000, 0.000, 0.000)
Hf (0.126, 0.000, 0.452)
Hf (0.374, 0.500, 0.548)
Hf (0.500, 0.500, 0.000)
Hf (0.626, 0.500, 0.452)
Hf (0.874, 0.000, 0.548)
Zr (0.143, 0.500, 0.800)
Zr (0.357, 0.000, 0.200)
Zr (0.643, 0.000, 0.800)
Zr (0.857, 0.500, 0.200)
Ge (0.166, 0.500, 0.203)
Ge (0.334, 0.000, 0.797)
Ge (0.666, 0.000, 0.203)
Ge (0.834, 0.500, 0.797)

Most intense lines, 5 to 70 degrees two-theta, low angle first:
- 25.00°, I = 37
- 33.50°, I = 61
- 34.66°, I = 100
- 36.25°, I = 34
- 37.76°, I = 81
- 47.76°, I = 35

[3]
The following is a calculated powder diffraction line list of HgGe. It was derived from the GGA-PBE geometry in Alexandria, using Cu Kα X-rays.
Intensities are scaled so that the largest is 100.

Atomic structure:
Cell: 2.896 3.035 5.206 Å, 90.00 90.00 90.00°
Fractional coordinates of all 2 atoms:
Hg (0.000, 0.000, 0.000)
Ge (0.000, 0.500, 0.500)

Most intense lines, 5 to 70 degrees two-theta, low angle first:
- 17.03°, I = 52
- 30.87°, I = 65
- 34.20°, I = 100
- 34.45°, I = 49
- 46.73°, I = 84
- 46.93°, I = 42

[4]
The following is a calculated powder diffraction line list of HoHg2Ge. It was derived from the GGA-PBE geometry in Alexandria, using Cu Kα X-rays.
Intensities are scaled so that the largest is 100.

Atomic structure:
Cell: 4.290 4.290 4.909 Å, 90.00 90.00 90.00°
Fractional coordinates of all 4 atoms:
Ho (0.000, 0.000, 0.000)
Hg (0.000, 0.500, 0.500)
Hg (0.500, 0.000, 0.500)
Ge (0.500, 0.500, 0.000)

Most intense lines, 5 to 70 degrees two-theta, low angle first:
- 34.76°, I = 100
- 36.61°, I = 22
- 42.12°, I = 30
- 57.02°, I = 24
- 61.09°, I = 10
- 64.73°, I = 17

[5]
The following is a calculated powder diffraction line list of HgGeI2. It was derived from the GGA-PBE geometry in Alexandria, using Cu Kα X-rays.
Intensities are scaled so that the largest is 100.

Atomic structure:
Cell: 7.415 4.284 10.944 Å, 90.00 107.45 90.00°
Fractional coordinates of all 8 atoms:
Hg (0.187, 0.250, 0.005)
Hg (0.813, 0.750, 0.995)
Ge (0.251, 0.750, 0.501)
Ge (0.749, 0.250, 0.499)
I (0.009, 0.250, 0.333)
I (0.491, 0.250, 0.669)
I (0.509, 0.750, 0.331)
I (0.991, 0.750, 0.667)

Most intense lines, 5 to 70 degrees two-theta, low angle first:
- 25.60°, I = 36
- 25.85°, I = 32
- 27.01°, I = 100
- 27.48°, I = 41
- 32.62°, I = 20
- 46.60°, I = 20

[6]
The following is a calculated powder diffraction line list of NpHgGeI6. It was derived from the GGA-PBE geometry in Alexandria, using Cu Kα X-rays.
Intensities are scaled so that the largest is 100.

Atomic structure:
Cell: 7.686 7.686 9.469 Å, 89.96 89.97 60.01°
Fractional coordinates of all 9 atoms:
Np (0.000, 0.000, 0.000)
Hg (0.335, 0.333, 0.500)
Ge (0.667, 0.667, 0.000)
I (0.333, 0.689, 0.819)
I (0.333, 0.978, 0.181)
I (0.689, 0.333, 0.181)
I (0.689, 0.978, 0.819)
I (0.978, 0.333, 0.819)
I (0.978, 0.689, 0.181)

Most intense lines, 5 to 70 degrees two-theta, low angle first:
- 9.34°, I = 56
- 16.28°, I = 85
- 25.01°, I = 68
- 29.95°, I = 100
- 40.66°, I = 44
- 44.98°, I = 30

[7]
The following is a calculated powder diffraction line list of In2HgGe. It was derived from the GGA-PBE geometry in Alexandria, using Cu Kα X-rays.
Intensities are scaled so that the largest is 100.

Atomic structure:
Cell: 5.423 5.423 3.350 Å, 90.00 90.00 90.00°
Fractional coordinates of all 4 atoms:
In (0.000, 0.500, 0.000)
In (0.500, 0.000, 0.000)
Hg (0.000, 0.000, 0.500)
Ge (0.500, 0.500, 0.500)

Most intense lines, 5 to 70 degrees two-theta, low angle first:
- 16.34°, I = 19
- 33.03°, I = 61
- 35.58°, I = 100
- 47.41°, I = 22
- 60.66°, I = 42
- 65.50°, I = 17

[8]
The following is a calculated powder diffraction line list of In6Hg3Ge. It was derived from the GGA-PBE geometry in Alexandria, using Cu Kα X-rays.
Intensities are scaled so that the largest is 100.

Atomic structure:
Cell: 4.255 11.716 12.052 Å, 64.33 89.98 89.95°
Fractional coordinates of all 20 atoms:
In (0.249, 0.099, 0.360)
In (0.249, 0.358, 0.541)
In (0.250, 0.129, 0.961)
In (0.250, 0.551, 0.728)
In (0.250, 0.653, 0.054)
In (0.250, 0.866, 0.241)
In (0.750, 0.134, 0.759)
In (0.750, 0.347, 0.946)
In (0.750, 0.449, 0.272)
In (0.750, 0.871, 0.039)
In (0.751, 0.642, 0.459)
In (0.751, 0.901, 0.640)
Hg (0.250, 0.360, 0.128)
Hg (0.251, 0.811, 0.515)
Hg (0.251, 0.920, 0.817)
Hg (0.749, 0.080, 0.183)
Hg (0.749, 0.189, 0.485)
Hg (0.750, 0.640, 0.872)
Ge (0.250, 0.598, 0.314)
Ge (0.750, 0.402, 0.686)

Most intense lines, 5 to 70 degrees two-theta, low angle first:
- 30.07°, I = 28
- 31.25°, I = 100
- 31.57°, I = 52
- 33.97°, I = 27
- 37.85°, I = 29
- 42.49°, I = 37

[9]
The following is a calculated powder diffraction line list of KHgGe. It was derived from the GGA-PBE geometry in Alexandria, using Cu Kα X-rays.
Intensities are scaled so that the largest is 100.

Atomic structure:
Cell: 12.992 4.145 8.350 Å, 90.00 125.46 90.00°
Fractional coordinates of all 12 atoms:
K (0.000, 0.000, 0.000)
K (0.150, 0.000, 0.713)
K (0.500, 0.500, 0.000)
K (0.650, 0.500, 0.713)
Hg (0.182, 0.500, 0.392)
Hg (0.393, 0.000, 0.589)
Hg (0.682, 0.000, 0.392)
Hg (0.893, 0.500, 0.589)
Ge (0.286, 0.500, 0.168)
Ge (0.430, 0.000, 0.291)
Ge (0.786, 0.000, 0.168)
Ge (0.930, 0.500, 0.291)

Most intense lines, 5 to 70 degrees two-theta, low angle first:
- 13.02°, I = 100
- 14.03°, I = 37
- 28.91°, I = 95
- 32.06°, I = 35
- 32.73°, I = 40
- 33.35°, I = 49

[10]
The following is a calculated powder diffraction line list of KHg3Ge. It was derived from the GGA-PBE geometry in Alexandria, using Cu Kα X-rays.
Intensities are scaled so that the largest is 100.

Atomic structure:
Cell: 5.543 5.543 5.543 Å, 90.00 90.00 90.00°
Fractional coordinates of all 5 atoms:
K (0.000, 0.000, 0.000)
Hg (0.000, 0.500, 0.500)
Hg (0.500, 0.000, 0.500)
Hg (0.500, 0.500, 0.000)
Ge (0.500, 0.500, 0.500)

Most intense lines, 5 to 70 degrees two-theta, low angle first:
- 15.99°, I = 46
- 27.88°, I = 100
- 32.30°, I = 83
- 36.24°, I = 26
- 46.33°, I = 61
- 54.94°, I = 47

[11]
The following is a calculated powder diffraction line list of K2Hg3Ge2Se8. It was derived from the GGA-PBE geometry in Alexandria, using Cu Kα X-rays.
Intensities are scaled so that the largest is 100.

Atomic structure:
Cell: 20.427 6.815 6.815 Å, 97.42 90.00 90.00°
Fractional coordinates of all 30 atoms:
K (0.118, 0.205, 0.795)
K (0.382, 0.705, 0.295)
K (0.618, 0.295, 0.705)
K (0.882, 0.795, 0.205)
Hg (0.000, 0.361, 0.361)
Hg (0.244, 0.655, 0.746)
Hg (0.256, 0.155, 0.246)
Hg (0.500, 0.861, 0.861)
Hg (0.744, 0.246, 0.155)
Hg (0.756, 0.746, 0.655)
Ge (0.135, 0.719, 0.296)
Ge (0.365, 0.219, 0.796)
Ge (0.635, 0.796, 0.219)
Ge (0.865, 0.296, 0.719)
Se (0.036, 0.593, 0.124)
Se (0.123, 0.674, 0.638)
Se (0.132, 0.063, 0.252)
Se (0.229, 0.567, 0.151)
Se (0.271, 0.067, 0.651)
Se (0.368, 0.563, 0.752)
Se (0.377, 0.174, 0.138)
Se (0.464, 0.093, 0.624)
Se (0.536, 0.624, 0.093)
Se (0.623, 0.138, 0.174)
Se (0.632, 0.752, 0.563)
Se (0.729, 0.651, 0.067)
Se (0.771, 0.151, 0.567)
Se (0.868, 0.252, 0.063)
Se (0.877, 0.638, 0.674)
Se (0.964, 0.124, 0.593)

Most intense lines, 5 to 70 degrees two-theta, low angle first:
- 8.66°, I = 30
- 13.80°, I = 39
- 21.59°, I = 41
- 26.39°, I = 100
- 27.81°, I = 35
- 35.12°, I = 43